For CsPa4Ag3Te12, a structure optimized by DFT (PBE) gives the computed X-ray powder pattern in this record (CuKα).
Intensities are scaled so that the largest is 100.

Peak list (10 most intense, 15 to 90 degrees two-theta, by angle)
2θ (°), I (rel.)
15.8, 28.9
22.4, 65.2
25.1, 57.6
29.8, 38.9
31.9, 48.3
35.8, 29.0
39.3, 100.0
47.2, 27.4
61.8, 23.7
71.3, 49.4

Structural model:
a = 9.7249 Å, b = 9.7249 Å, c = 9.7249 Å
α = 109.47°, β = 109.47°, γ = 109.47°
Sites, in units of the cell vectors:
Cs  0.0000  0.0000  0.0000
Pa  0.0000  0.0000  0.5000
Pa  0.0000  0.5000  0.0000
Pa  0.5000  0.0000  0.0000
Pa  0.5000  0.5000  0.5000
Ag  0.0000  0.5000  0.5000
Ag  0.5000  0.0000  0.5000
Ag  0.5000  0.5000  0.0000
Te  0.1345  0.3125  0.8219
Te  0.1781  0.4906  0.3125
Te  0.1781  0.8655  0.6875
Te  0.3125  0.1781  0.4906
Te  0.3125  0.8219  0.1345
Te  0.4906  0.3125  0.1781
Te  0.5094  0.6875  0.8219
Te  0.6875  0.1781  0.8655
Te  0.6875  0.8219  0.5094
Te  0.8219  0.1345  0.3125
Te  0.8219  0.5094  0.6875
Te  0.8655  0.6875  0.1781


For CsAgPb6, a structure optimized by DFT (PBE) gives the computed X-ray powder pattern in this record (CuKα).
Intensities are scaled so that the largest is 100.

Peak list (10 most intense, 15 to 90 degrees two-theta, by angle)
2θ (°), I (rel.)
23.9, 28.2
26.2, 65.8
29.8, 23.8
30.1, 17.7
35.0, 100.0
35.4, 72.8
37.2, 17.5
51.0, 26.2
62.6, 26.7
63.4, 37.0

Structural model:
a = 5.0665 Å, b = 5.0665 Å, c = 10.9973 Å
α = 90.00°, β = 90.00°, γ = 90.00°
Sites, in units of the cell vectors:
Cs  0.0000  0.0000  0.0000
Ag  0.0000  0.0000  0.5000
Pb  0.0000  0.5000  0.3368
Pb  0.0000  0.5000  0.6632
Pb  0.5000  0.0000  0.3368
Pb  0.5000  0.0000  0.6632
Pb  0.5000  0.5000  0.1544
Pb  0.5000  0.5000  0.8456


For Cs6AgPd, a structure optimized by DFT (PBE) gives the computed X-ray powder pattern in this record (CuKα).
Intensities are scaled so that the largest is 100.

Peak list (10 most intense, 15 to 90 degrees two-theta, by angle)
2θ (°), I (rel.)
18.3, 35.0
19.1, 61.0
20.6, 35.9
22.4, 37.0
23.7, 100.0
25.3, 51.5
25.9, 53.2
30.0, 38.4
30.8, 38.3
35.0, 36.3

Structural model:
a = 5.1277 Å, b = 11.0019 Å, c = 11.0019 Å
α = 87.70°, β = 90.00°, γ = 90.00°
Sites, in units of the cell vectors:
Cs  0.0000  0.0000  0.0000
Cs  0.0000  0.5411  0.8174
Cs  0.0000  0.8174  0.5411
Cs  0.5000  0.2450  0.6622
Cs  0.5000  0.2865  0.2865
Cs  0.5000  0.6622  0.2450
Ag  0.0000  0.4817  0.4817
Pd  0.5000  0.5313  0.5313